No. 1
Starting from a DFT-relaxed cell (PBE, Alexandria), the powder XRD pattern of La6Sb4S3O12 was computed for CuKα.

Lattice parameters (Å, degrees): 10.903 10.903 15.420 90.00 90.00 90.00
Space group I-42d (No. 122)
Unique sites:
La1 0.000 0.000 0.197 [8 per cell]
La2 0.197 0.698 0.250 [16 per cell]
Sb1 0.001 0.675 0.838 [16 per cell]
S1 0.000 0.000 0.000 [4 per cell]
S2 0.010 0.250 0.625 [8 per cell]
O1 0.000 0.185 0.280 [16 per cell]
O2 0.127 0.188 0.843 [16 per cell]
O3 0.127 0.687 0.408 [16 per cell]

The 10 most intense peaks (15 to 90 degrees two-theta), in order of rising 2θ:
h k l	2θ (°)	I/Imax
2 0 2	19.95	19
2 0 4	28.35	25
3 2 1	30.11	100
4 0 0	32.86	29
4 3 1	41.84	12
5 2 1	45.17	19
3 3 6	50.20	45
3 0 9	59.66	18
7 0 3	62.28	11
7 3 6	76.10	14


No. 2
Starting from a DFT-relaxed cell (PBE, Alexandria), the powder XRD pattern of LaSmS2O was computed for CuKα.

Lattice parameters (Å, degrees): 4.027 4.027 14.242 90.00 90.00 90.00
Space group P4/nmm (No. 129, origin choice 2)
Unique sites:
La1 0.250 0.250 0.088 [2 per cell]
Sm1 0.250 0.250 0.623 [2 per cell]
S1 0.250 0.250 0.408 [2 per cell]
S2 0.250 0.250 0.802 [2 per cell]
O1 0.250 0.750 0.000 [2 per cell]

The 10 most intense peaks (15 to 90 degrees two-theta), in order of rising 2θ:
h k l	2θ (°)	I/Imax
0 0 4	25.01	28
1 0 2	25.41	100
1 1 0	31.42	70
1 0 4	33.60	15
1 0 5	38.72	18
1 1 4	40.57	41
1 0 6	44.30	18
2 0 0	45.02	30
2 0 4	52.19	15
2 1 2	52.40	29


No. 3
Starting from a DFT-relaxed cell (PBE, Alexandria), the powder XRD pattern of La2SnS3O2 was computed for CuKα.

Lattice parameters (Å, degrees): 5.905 19.281 5.892 90.00 90.00 90.00
Space group Pnma (No. 62)
Unique sites:
La1 0.248 0.063 0.002 [8 per cell]
Sn1 0.153 0.750 0.930 [4 per cell]
S1 0.240 0.750 0.516 [4 per cell]
S2 0.244 0.133 0.513 [8 per cell]
O1 0.001 0.000 0.749 [8 per cell]

The 10 most intense peaks (15 to 90 degrees two-theta), in order of rising 2θ:
h k l	2θ (°)	I/Imax
1 3 1	25.46	100
0 6 0	27.76	24
0 0 2	30.31	71
1 5 1	31.60	53
1 7 1	39.20	15
2 6 0	41.53	17
0 6 2	41.59	19
2 0 2	43.39	31
3 5 1	54.66	38
2 10 0	57.03	16


No. 4
Starting from a DFT-relaxed cell (PBE, Alexandria), the powder XRD pattern of LaTbS2O was computed for CuKα.

Lattice parameters (Å, degrees): 3.992 3.992 14.081 90.00 90.00 90.00
Space group P4/nmm (No. 129, origin choice 2)
Unique sites:
La1 0.250 0.250 0.090 [2 per cell]
Tb1 0.250 0.250 0.620 [2 per cell]
S1 0.250 0.250 0.409 [2 per cell]
S2 0.250 0.250 0.798 [2 per cell]
O1 0.250 0.750 0.000 [2 per cell]

The 10 most intense peaks (15 to 90 degrees two-theta), in order of rising 2θ:
h k l	2θ (°)	I/Imax
0 0 4	25.30	28
1 0 2	25.65	100
1 1 0	31.70	67
1 0 4	33.95	15
1 0 5	39.15	13
1 1 4	40.98	40
1 0 6	44.80	19
2 0 0	45.44	29
2 0 4	52.72	15
2 1 2	52.91	29